# 1
Sr3Ga3Ag8: calculated X-ray powder pattern (CuKα), based on DFT lattice parameters and positions (PBE).
Neutral-atom scattering factors, no anomalous dispersion.

The 10 most intense peaks (2θ from 10° to 80°), by intensity:
- 32.86 deg, d = 2.726 Å, I = 100.0
- 37.72 deg, d = 2.385 Å, I = 66.4
- 36.41 deg, d = 2.467 Å, I = 41.0
- 42.97 deg, d = 2.105 Å, I = 40.5
- 33.25 deg, d = 2.695 Å, I = 32.5
- 37.40 deg, d = 2.404 Å, I = 31.7
- 33.96 deg, d = 2.640 Å, I = 31.4
- 38.82 deg, d = 2.320 Å, I = 24.3
- 18.66 deg, d = 4.755 Å, I = 17.7
- 31.80 deg, d = 2.814 Å, I = 16.8

Atomic structure:
```
data_Sr3Ga3Ag8
_cell_length_a 16.826
_cell_length_b 4.770
_cell_length_c 9.510
_cell_angle_alpha 90.00
_cell_angle_beta 124.18
_cell_angle_gamma 90.00
_space_group_name_H-M_alt 'C 1 2/m 1'
_space_group_IT_number 12
loop_
_space_group_symop_operation_xyz
'x,y,z'
'-x,-y,-z'
'-x,y,-z'
'x,-y,z'
'x+1/2,y+1/2,z'
'-x+1/2,-y+1/2,-z'
'-x+1/2,y+1/2,-z'
'x+1/2,-y+1/2,z'
loop_
_atom_site_label
_atom_site_fract_x
_atom_site_fract_y
_atom_site_fract_z
Sr1 0.000 0.000 0.000
Sr2 0.202 0.500 0.696
Ga1 0.000 0.000 0.500
Ga2 0.168 0.500 0.015
Ag1 0.004 0.500 0.691
Ag2 0.126 0.000 0.414
Ag3 0.134 0.000 0.849
Ag4 0.163 0.500 0.294
```

# 2
LaSm5Sc: calculated X-ray powder pattern (CuKα), based on DFT lattice parameters and positions (PBE).
Neutral-atom scattering factors, no anomalous dispersion.

The 10 most intense peaks (2θ from 10° to 80°), by intensity:
- 31.56 deg, d = 2.835 Å, I = 100.0
- 33.77 deg, d = 2.654 Å, I = 49.0
- 25.87 deg, d = 3.444 Å, I = 33.9
- 59.02 deg, d = 1.565 Å, I = 33.3
- 58.73 deg, d = 1.572 Å, I = 25.0
- 46.50 deg, d = 1.953 Å, I = 19.5
- 48.50 deg, d = 1.877 Å, I = 17.7
- 79.54 deg, d = 1.205 Å, I = 16.8
- 31.01 deg, d = 2.884 Å, I = 14.8
- 54.73 deg, d = 1.677 Å, I = 14.4

Atomic structure:
```
data_LaSm5Sc
_cell_length_a 5.309
_cell_length_b 5.309
_cell_length_c 8.653
_cell_angle_alpha 90.00
_cell_angle_beta 90.00
_cell_angle_gamma 90.00
_space_group_name_H-M_alt 'P 4/m m m'
_space_group_IT_number 123
_space_group_name_Hall '-P 4 2'
loop_
_atom_site_label
_atom_site_fract_x
_atom_site_fract_y
_atom_site_fract_z
La1 0.000 0.000 0.000
Sm1 0.000 0.500 0.289
Sm2 0.500 0.500 0.000
Sc1 0.000 0.000 0.500
```

# 3
PrIn12Pd6: calculated X-ray powder pattern (CuKα), based on DFT lattice parameters and positions (PBE).
Neutral-atom scattering factors, no anomalous dispersion.

The 10 most intense peaks (2θ from 10° to 80°), by intensity:
- 31.28 deg, d = 2.859 Å, I = 100.0
- 31.85 deg, d = 2.810 Å, I = 69.1
- 46.15 deg, d = 1.967 Å, I = 58.9
- 37.47 deg, d = 2.400 Å, I = 58.2
- 37.95 deg, d = 2.371 Å, I = 49.4
- 41.76 deg, d = 2.163 Å, I = 48.2
- 41.09 deg, d = 2.197 Å, I = 34.2
- 57.69 deg, d = 1.598 Å, I = 24.1
- 38.36 deg, d = 2.347 Å, I = 23.1
- 35.45 deg, d = 2.532 Å, I = 22.1

Atomic structure:
```
data_PrIn12Pd6
_cell_length_a 12.4917
_cell_length_b 12.4917
_cell_length_c 9.4390
_cell_angle_alpha 90.00
_cell_angle_beta 90.00
_cell_angle_gamma 120.00
_space_group_name_H-M_alt 'R -3 m'
_space_group_IT_number 166
_space_group_name_Hall '-R 3 2"'
loop_
_atom_site_label
_atom_site_fract_x
_atom_site_fract_y
_atom_site_fract_z
Pr1 0.0000 0.0000 0.0000
In1 0.0000 0.3840 0.5000
In2 0.0844 0.1689 0.3181
Pd1 0.0488 0.5244 0.2435
```